Record 1
# Eu4Bi2O
Simulated powder XRD pattern, λ = 1.5418 Å (Cu Kα). Input: a DFT-relaxed cell (PBE, the Materials Project).
Neutral-atom scattering factors, no anomalous dispersion.

Main lines, in order of rising 2θ (2θ = 10–90°):
(1 1 0), 25.52°, I = 26
(1 1 2), 27.55°, I = 61
(0 0 6), 30.98°, I = 30
(1 0 5), 31.56°, I = 17
(1 1 4), 32.96°, I = 100
(2 0 0), 36.40°, I = 61
(2 0 6), 48.53°, I = 34
(2 2 0), 52.43°, I = 22
(2 2 6), 62.16°, I = 16
(3 1 4), 63.34°, I = 31

Atomic structure:
```
data_Eu4Bi2O
_chemical_formula_sum 'Eu8 Bi4 O2'
_space_group_name_H-M_alt 'I 4/m m m'
_space_group_IT_number 139
_space_group_name_Hall '-I 4 2'
_cell_length_a 4.9361
_cell_length_b 4.9361
_cell_length_c 17.3174
_cell_angle_alpha 90.00
_cell_angle_beta 90.00
_cell_angle_gamma 90.00
loop_
_atom_site_label
_atom_site_type_symbol
_atom_site_fract_x
_atom_site_fract_y
_atom_site_fract_z
_atom_site_occupancy
Eu1 Eu 0.0000 0.0000 0.1676 1
Eu2 Eu 0.0000 0.5000 0.0000 1
Bi1 Bi 0.0000 0.0000 0.3614 1
O1 O 0.0000 0.0000 0.0000 1
```

***

Record 2
# NaMgTi3O7F
Simulated powder XRD pattern, λ = 1.5418 Å (Cu Kα). Input: a DFT-relaxed cell (PBE, the Materials Project).
Neutral-atom scattering factors, no anomalous dispersion.

Main lines, in order of rising 2θ (2θ = 10–90°):
(0 1 1), 12.88°, I = 100
(0 1 2), 19.21°, I = 66
(1 1 0), 25.78°, I = 65
(0 2 2), 25.92°, I = 60
(0 1 3), 26.68°, I = 34
(1 1 1), 27.08°, I = 65
(1 1 2), 30.70°, I = 25
(0 0 4), 33.14°, I = 64
(0 4 1), 41.41°, I = 22
(2 0 0), 48.55°, I = 47

Atomic structure:
```
data_NaMgTi3O7F
_chemical_formula_sum 'Na2 Mg2 Ti6 O14 F2'
_space_group_name_H-M_alt 'P m c 21'
_space_group_IT_number 26
_cell_length_a 3.7504
_cell_length_b 8.9050
_cell_length_c 10.8131
_cell_angle_alpha 90.00
_cell_angle_beta 90.00
_cell_angle_gamma 90.00
loop_
_space_group_symop_operation_xyz
'x,y,z'
'-x,-y,z+1/2'
'-x,y,z'
'x,-y,z+1/2'
loop_
_atom_site_label
_atom_site_type_symbol
_atom_site_fract_x
_atom_site_fract_y
_atom_site_fract_z
_atom_site_occupancy
Na1 Na 0.0000 0.0719 0.0000 1
Mg1 Mg 0.0000 0.3162 0.1950 1
Ti1 Ti 0.0000 0.4960 0.4529 1
Ti2 Ti 0.5000 0.0328 0.2682 1
Ti3 Ti 0.5000 0.2359 0.5425 1
O1 O 0.0000 0.0711 0.2301 1
O2 O 0.0000 0.2556 0.5000 1
O3 O 0.0000 0.3186 0.0154 1
O4 O 0.0000 0.4979 0.2922 1
O5 O 0.5000 0.0487 0.4363 1
O6 O 0.5000 0.1562 0.7003 1
O7 O 0.5000 0.4432 0.5055 1
F1 F 0.5000 0.2561 0.2213 1
```

***

Record 3
# HoCdIn
Simulated powder XRD pattern, λ = 1.5418 Å (Cu Kα). Input: a DFT-relaxed cell (PBE, the Materials Project).
Neutral-atom scattering factors, no anomalous dispersion.

Main lines, in order of rising 2θ (2θ = 10–90°):
(1 0 1), 24.27°, I = 7
(1 0 2), 32.20°, I = 100
(1 1 0), 36.85°, I = 78
(0 1 3), 42.51°, I = 13
(0 2 2), 49.73°, I = 29
(1 1 4), 63.17°, I = 16
(2 1 2), 63.47°, I = 28
(3 0 0), 66.38°, I = 13
(2 2 0), 78.41°, I = 8
(1 3 2), 87.30°, I = 12

Atomic structure:
```
data_HoCdIn
_chemical_formula_sum 'Ho2 Cd2 In2'
_space_group_name_H-M_alt 'P -3 m 1'
_space_group_IT_number 164
_space_group_name_Hall '-P 3 2"'
_cell_length_a 4.8786
_cell_length_b 4.8786
_cell_length_c 7.3837
_cell_angle_alpha 90.00
_cell_angle_beta 90.00
_cell_angle_gamma 120.00
loop_
_atom_site_label
_atom_site_type_symbol
_atom_site_fract_x
_atom_site_fract_y
_atom_site_fract_z
_atom_site_occupancy
Ho1 Ho 0.0000 0.0000 0.2370 1
Cd1 Cd 0.3333 0.6667 0.9732 1
In1 In 0.3333 0.6667 0.5496 1
```